Diffraction record for Tb3HgPt. The XRD peak list is simulated, not measured: it uses a DFT-relaxed cell (PBE, Alexandria) and Cu Kα (λ = 1.5418 Å).

Structure:
Cell lengths 4.7123, 6.9014, 8.4839 Å; angles 90.00, 90.00, 90.00 degrees
Element x y z (fractional)
1 Tb 0.2500 0.0009 0.1624
2 Tb 0.2500 0.2500 0.5558
3 Tb 0.2500 0.4991 0.1624
4 Tb 0.7500 0.5009 0.8376
5 Tb 0.7500 0.7500 0.4442
6 Tb 0.7500 0.9991 0.8376
7 Hg 0.2500 0.7500 0.6745
8 Hg 0.7500 0.2500 0.3255
9 Pt 0.2500 0.2500 0.8923
10 Pt 0.7500 0.7500 0.1077

Top 10 peaks for 2θ = 15–90°, sorted by position:
2θ/deg  I_rel
24.6  18
27.9  14
28.3  27
31.2  25
33.9  100
34.3  14
38.2  35
39.4  23
53.1  14
66.3  15